No. 1
Starting from a crystal structure in Alexandria, relaxed with PBE, the PXRD pattern of Sr3LiN was computed for a wavelength of 1.5418 Å.
Intensities are scaled so that the largest is 100.

The 10 most intense peaks (15 to 90 degrees two-theta), in order of rising 2θ:
| d/Å | two_theta | intensity |
| --- | --- | --- |
| 5.419 | 16.36 | 24 |
| 3.445 | 25.86 | 50 |
| 3.145 | 28.38 | 100 |
| 3.036 | 29.42 | 24 |
| 2.534 | 35.43 | 16 |
| 2.515 | 35.70 | 36 |
| 2.169 | 41.64 | 30 |
| 2.155 | 41.93 | 15 |
| 1.837 | 49.63 | 31 |
| 1.615 | 57.01 | 15 |

Cell and atoms:
```
Sr3LiN
1.0
6.3667 -3.6724 0.0000
6.3667 3.6724 0.0000
-4.3085 0.0000 6.8897
Sr Li N
6 2 2
Direct
0.0775 0.5752 0.2316
0.0775 0.0775 0.2317
0.4248 0.9225 0.7684
0.5752 0.0775 0.2316
0.9225 0.9225 0.7683
0.9225 0.4248 0.7684
0.3986 0.3986 0.6949
0.6014 0.6014 0.3051
0.1676 0.1676 0.0030
0.8324 0.8324 0.9970
```


No. 2
Starting from a crystal structure in Alexandria, relaxed with PBE, the PXRD pattern of Sr4LiN2 was computed for a wavelength of 1.5418 Å.
Intensities are scaled so that the largest is 100.

The 10 most intense peaks (15 to 90 degrees two-theta), in order of rising 2θ:
| d/Å | two_theta | intensity |
| --- | --- | --- |
| 3.372 | 26.43 | 61 |
| 3.131 | 28.51 | 77 |
| 3.021 | 29.57 | 39 |
| 2.977 | 30.02 | 100 |
| 2.913 | 30.70 | 74 |
| 2.227 | 40.50 | 26 |
| 2.011 | 45.08 | 56 |
| 2.001 | 45.33 | 24 |
| 1.686 | 54.42 | 25 |
| 1.619 | 56.86 | 34 |

Cell and atoms:
```
Sr4LiN2
1.0
2.0007 -6.6783 0.0000
2.0007 6.6783 0.0000
0.0000 0.0000 14.1788
Sr Li N
8 2 4
Direct
0.0000 0.0000 0.0000
0.0000 0.0000 0.5000
0.2544 0.7456 0.5937
0.2544 0.7456 0.9063
0.4147 0.5853 0.2500
0.5853 0.4147 0.7500
0.7456 0.2544 0.0937
0.7456 0.2544 0.4063
0.1232 0.8768 0.2500
0.8768 0.1232 0.7500
0.3612 0.6388 0.0655
0.3612 0.6388 0.4345
0.6388 0.3612 0.5655
0.6388 0.3612 0.9345
```


No. 3
Starting from a crystal structure in Alexandria, relaxed with PBE, the PXRD pattern of SrLiN was computed for a wavelength of 1.5418 Å.
Intensities are scaled so that the largest is 100.

The 10 most intense peaks (15 to 90 degrees two-theta), in order of rising 2θ:
| d/Å | two_theta | intensity |
| --- | --- | --- |
| 3.942 | 22.56 | 100 |
| 3.545 | 25.12 | 26 |
| 2.787 | 32.11 | 37 |
| 2.636 | 34.01 | 89 |
| 2.191 | 41.20 | 55 |
| 1.971 | 46.05 | 24 |
| 1.763 | 51.87 | 21 |
| 1.723 | 53.17 | 14 |
| 1.617 | 56.96 | 16 |
| 1.578 | 58.47 | 37 |

Cell and atoms:
```
SrLiN
1.0
3.9418 0.0000 0.0000
0.0000 3.9418 0.0000
0.0000 0.0000 7.0901
Sr Li N
2 2 2
Direct
0.0000 0.0000 0.2500
0.0000 0.0000 0.7500
0.5000 0.5000 0.0000
0.5000 0.5000 0.5000
0.0000 0.5000 0.0000
0.5000 0.0000 0.5000
```


No. 4
Starting from a crystal structure in Alexandria, relaxed with PBE, the PXRD pattern of Sr2Li3TaN4 was computed for a wavelength of 1.5418 Å.
Intensities are scaled so that the largest is 100.

The 10 most intense peaks (15 to 90 degrees two-theta), in order of rising 2θ:
| d/Å | two_theta | intensity |
| --- | --- | --- |
| 5.554 | 15.96 | 52 |
| 4.371 | 20.32 | 31 |
| 4.014 | 22.14 | 61 |
| 3.435 | 25.94 | 35 |
| 3.142 | 28.41 | 28 |
| 2.775 | 32.26 | 100 |
| 2.742 | 32.66 | 75 |
| 2.643 | 33.91 | 81 |
| 2.008 | 45.15 | 38 |
| 1.717 | 53.36 | 42 |

Cell and atoms:
```
Sr2Li3TaN4
1.0
8.7428 0.0000 0.0000
0.0000 9.0373 0.0000
0.0000 0.0000 7.0411
Sr Li Ta N
8 12 4 16
Direct
0.0000 0.0000 0.2396
0.0000 0.0000 0.7604
0.2409 0.2472 0.5000
0.2591 0.7472 0.0000
0.5000 0.5000 0.2604
0.5000 0.5000 0.7396
0.7409 0.2528 0.0000
0.7591 0.7528 0.5000
0.0197 0.6343 0.2612
0.0197 0.6343 0.7388
0.2052 0.5777 0.5000
0.2948 0.0777 0.0000
0.4803 0.1343 0.2388
0.4803 0.1343 0.7612
0.5197 0.8657 0.2388
0.5197 0.8657 0.7612
0.7052 0.9223 0.0000
0.7948 0.4223 0.5000
0.9803 0.3657 0.2612
0.9803 0.3657 0.7388
0.2143 0.3625 0.0000
0.2857 0.8625 0.5000
0.7143 0.1375 0.5000
0.7857 0.6375 0.0000
0.0469 0.2166 0.0000
0.0742 0.7786 0.5000
0.1981 0.4806 0.2344
0.1981 0.4806 0.7656
0.3019 0.9806 0.2656
0.3019 0.9806 0.7344
0.4258 0.2786 0.0000
0.4531 0.7166 0.5000
0.5469 0.2834 0.5000
0.5742 0.7214 0.0000
0.6981 0.0194 0.2656
0.6981 0.0194 0.7344
0.8019 0.5194 0.2344
0.8019 0.5194 0.7656
0.9258 0.2214 0.5000
0.9531 0.7834 0.0000
```